For Ag2HgGeTe2S2, a structure optimized by DFT (GGA-PBE) gives the theoretical powder XRD pattern in this record (a wavelength of 1.5418 Å).

Structural model:
```
data_Ag2HgGeTe2S2
_cell_length_a 7.397
_cell_length_b 7.397
_cell_length_c 6.080
_cell_angle_alpha 112.90
_cell_angle_beta 112.90
_cell_angle_gamma 48.27
_symmetry_space_group_name_H-M 'P 1'
_symmetry_Int_Tables_number 1
loop_
_symmetry_equiv_pos_as_xyz
'x,y,z'
loop_
_atom_site_label
_atom_site_type_symbol
_atom_site_fract_x
_atom_site_fract_y
_atom_site_fract_z
_atom_site_occupancy
Ag1 Ag 0.248 0.248 0.308 1
Ag2 Ag 0.752 0.752 0.692 1
Hg1 Hg 0.526 0.474 0.000 1
Ge1 Ge 0.050 0.950 0.500 1
Te1 Te 0.657 0.072 0.146 1
Te2 Te 0.928 0.343 0.854 1
S1 S 0.138 0.640 0.623 1
S2 S 0.360 0.862 0.377 1
```

Largest 8 diffraction maxima, in order of falling intensity, 5° ≤ 2θ ≤ 70°:
| 2θ/deg | d/Å | Rel. int. |
| --- | --- | --- |
| 25.61 | 3.478 | 100 |
| 25.15 | 3.540 | 92 |
| 42.10 | 2.147 | 85 |
| 41.36 | 2.183 | 23 |
| 34.00 | 2.637 | 20 |
| 33.64 | 2.664 | 20 |
| 50.10 | 1.821 | 18 |
| 49.81 | 1.831 | 18 |

For Ag2HgGeTe3S, a structure optimized by DFT (GGA-PBE) gives the theoretical powder XRD pattern in this record (a wavelength of 1.5418 Å).

Structural model:
```
data_Ag2HgGeTe3S
_cell_length_a 6.342
_cell_length_b 6.342
_cell_length_c 7.512
_cell_angle_alpha 114.55
_cell_angle_beta 114.55
_cell_angle_gamma 89.14
_symmetry_space_group_name_H-M 'P 1'
_symmetry_Int_Tables_number 1
loop_
_symmetry_equiv_pos_as_xyz
'x,y,z'
loop_
_atom_site_label
_atom_site_type_symbol
_atom_site_fract_x
_atom_site_fract_y
_atom_site_fract_z
_atom_site_occupancy
Ag1 Ag 0.220 0.780 0.000 1
Ag2 Ag 0.780 0.220 0.000 1
Hg1 Hg 0.574 0.574 0.495 1
Ge1 Ge 0.031 0.031 0.457 1
Te1 Te 0.357 0.896 0.728 1
Te2 Te 0.666 0.666 0.192 1
Te3 Te 0.896 0.357 0.728 1
S1 S 0.144 0.144 0.259 1
```

Largest 8 diffraction maxima, in order of falling intensity, 5° ≤ 2θ ≤ 70°:
| 2θ/deg | d/Å | Rel. int. |
| --- | --- | --- |
| 24.77 | 3.595 | 100 |
| 24.25 | 3.670 | 47 |
| 40.72 | 2.216 | 35 |
| 41.39 | 2.181 | 28 |
| 47.81 | 1.902 | 19 |
| 40.54 | 2.225 | 18 |
| 32.02 | 2.795 | 16 |
| 32.55 | 2.751 | 15 |

For Ag2HgGeTe2S2, a structure optimized by DFT (GGA-PBE) gives the theoretical powder XRD pattern in this record (a wavelength of 1.5418 Å).

Structural model:
```
data_Ag2HgGeTe2S2
_cell_length_a 7.450
_cell_length_b 7.381
_cell_length_c 6.159
_cell_angle_alpha 66.05
_cell_angle_beta 64.88
_cell_angle_gamma 49.07
_symmetry_space_group_name_H-M 'P 1'
_symmetry_Int_Tables_number 1
loop_
_symmetry_equiv_pos_as_xyz
'x,y,z'
loop_
_atom_site_label
_atom_site_type_symbol
_atom_site_fract_x
_atom_site_fract_y
_atom_site_fract_z
_atom_site_occupancy
Ag1 Ag 0.000 0.000 0.500 1
Ag2 Ag 0.500 0.500 0.000 1
Hg1 Hg 0.271 0.271 0.729 1
Ge1 Ge 0.789 0.789 0.211 1
Te1 Te 0.421 0.878 0.122 1
Te2 Te 0.878 0.421 0.579 1
S1 S 0.116 0.675 0.884 1
S2 S 0.675 0.116 0.325 1
```

Largest 8 diffraction maxima, in order of falling intensity, 5° ≤ 2θ ≤ 70°:
| 2θ/deg | d/Å | Rel. int. |
| --- | --- | --- |
| 42.05 | 2.149 | 100 |
| 25.50 | 3.493 | 97 |
| 25.04 | 3.556 | 81 |
| 48.81 | 1.866 | 30 |
| 49.59 | 1.838 | 24 |
| 40.89 | 2.207 | 22 |
| 32.69 | 2.739 | 18 |
| 50.06 | 1.822 | 15 |

For HoLu2Ag4Ge4, a structure optimized by DFT (GGA-PBE) gives the theoretical powder XRD pattern in this record (a wavelength of 1.5418 Å).

Structural model:
```
data_HoLu2Ag4Ge4
_cell_length_a 8.309
_cell_length_b 8.309
_cell_length_c 8.309
_cell_angle_alpha 150.21
_cell_angle_beta 128.99
_cell_angle_gamma 60.20
_symmetry_space_group_name_H-M 'P 1'
_symmetry_Int_Tables_number 1
loop_
_symmetry_equiv_pos_as_xyz
'x,y,z'
loop_
_atom_site_label
_atom_site_type_symbol
_atom_site_fract_x
_atom_site_fract_y
_atom_site_fract_z
_atom_site_occupancy
Ho1 Ho 0.000 0.000 0.000 1
Lu1 Lu 0.375 0.875 0.500 1
Lu2 Lu 0.625 0.125 0.500 1
Ag1 Ag 0.030 0.331 0.699 1
Ag2 Ag 0.368 0.669 0.699 1
Ag3 Ag 0.632 0.331 0.301 1
Ag4 Ag 0.970 0.669 0.301 1
Ge1 Ge 0.218 0.218 0.000 1
Ge2 Ge 0.317 0.500 0.817 1
Ge3 Ge 0.683 0.500 0.183 1
Ge4 Ge 0.782 0.782 0.000 1
```

Largest 8 diffraction maxima, in order of falling intensity, 5° ≤ 2θ ≤ 70°:
| 2θ/deg | d/Å | Rel. int. |
| --- | --- | --- |
| 33.25 | 2.694 | 100 |
| 34.95 | 2.567 | 93 |
| 42.32 | 2.136 | 75 |
| 37.77 | 2.382 | 35 |
| 33.59 | 2.668 | 30 |
| 61.39 | 1.510 | 23 |
| 37.53 | 2.396 | 18 |
| 55.08 | 1.667 | 14 |

For Ho2Ag2GePb, a structure optimized by DFT (GGA-PBE) gives the theoretical powder XRD pattern in this record (a wavelength of 1.5418 Å).

Structural model:
```
data_Ho2Ag2GePb
_cell_length_a 4.658
_cell_length_b 4.658
_cell_length_c 7.382
_cell_angle_alpha 90.00
_cell_angle_beta 90.00
_cell_angle_gamma 120.00
_symmetry_space_group_name_H-M 'P 1'
_symmetry_Int_Tables_number 1
loop_
_symmetry_equiv_pos_as_xyz
'x,y,z'
loop_
_atom_site_label
_atom_site_type_symbol
_atom_site_fract_x
_atom_site_fract_y
_atom_site_fract_z
_atom_site_occupancy
Ho1 Ho 0.000 0.000 0.000 1
Ho2 Ho 0.000 0.000 0.481 1
Ag1 Ag 0.333 0.667 0.281 1
Ag2 Ag 0.667 0.333 0.816 1
Ge1 Ge 0.667 0.333 0.201 1
Pb1 Pb 0.333 0.667 0.703 1
```

Largest 8 diffraction maxima, in order of falling intensity, 5° ≤ 2θ ≤ 70°:
| 2θ/deg | d/Å | Rel. int. |
| --- | --- | --- |
| 32.89 | 2.723 | 100 |
| 38.66 | 2.329 | 73 |
| 51.64 | 1.770 | 28 |
| 66.33 | 1.409 | 26 |
| 43.06 | 2.101 | 18 |
| 25.16 | 3.540 | 16 |
| 69.96 | 1.345 | 13 |
| 64.41 | 1.446 | 12 |

For Ho3Ag4Sn2Ge2, a structure optimized by DFT (GGA-PBE) gives the theoretical powder XRD pattern in this record (a wavelength of 1.5418 Å).

Structural model:
```
data_Ho3Ag4Sn2Ge2
_cell_length_a 8.634
_cell_length_b 8.634
_cell_length_c 8.634
_cell_angle_alpha 149.98
_cell_angle_beta 131.10
_cell_angle_gamma 58.45
_symmetry_space_group_name_H-M 'P 1'
_symmetry_Int_Tables_number 1
loop_
_symmetry_equiv_pos_as_xyz
'x,y,z'
loop_
_atom_site_label
_atom_site_type_symbol
_atom_site_fract_x
_atom_site_fract_y
_atom_site_fract_z
_atom_site_occupancy
Ho1 Ho 0.000 0.000 0.000 1
Ho2 Ho 0.379 0.879 0.500 1
Ho3 Ho 0.621 0.121 0.500 1
Ag1 Ag 0.038 0.339 0.699 1
Ag2 Ag 0.359 0.661 0.699 1
Ag3 Ag 0.641 0.339 0.301 1
Ag4 Ag 0.962 0.661 0.301 1
Sn1 Sn 0.218 0.218 0.000 1
Sn2 Sn 0.782 0.782 0.000 1
Ge1 Ge 0.318 0.500 0.818 1
Ge2 Ge 0.682 0.500 0.182 1
```

Largest 8 diffraction maxima, in order of falling intensity, 5° ≤ 2θ ≤ 70°:
| 2θ/deg | d/Å | Rel. int. |
| --- | --- | --- |
| 33.53 | 2.672 | 100 |
| 32.62 | 2.745 | 90 |
| 40.34 | 2.236 | 41 |
| 32.23 | 2.777 | 32 |
| 36.83 | 2.440 | 24 |
| 41.97 | 2.153 | 23 |
| 52.55 | 1.742 | 16 |
| 59.62 | 1.551 | 16 |

For Ag9Ge2IO8, a structure optimized by DFT (GGA-PBE) gives the theoretical powder XRD pattern in this record (a wavelength of 1.5418 Å).

Structural model:
```
data_Ag9Ge2IO8
_cell_length_a 9.543
_cell_length_b 9.543
_cell_length_c 5.734
_cell_angle_alpha 104.54
_cell_angle_beta 104.54
_cell_angle_gamma 41.78
_symmetry_space_group_name_H-M 'P 1'
_symmetry_Int_Tables_number 1
loop_
_symmetry_equiv_pos_as_xyz
'x,y,z'
loop_
_atom_site_label
_atom_site_type_symbol
_atom_site_fract_x
_atom_site_fract_y
_atom_site_fract_z
_atom_site_occupancy
Ag1 Ag 0.000 0.000 0.000 1
Ag2 Ag 0.102 0.547 0.713 1
Ag3 Ag 0.233 0.767 0.500 1
Ag4 Ag 0.306 0.306 0.286 1
Ag5 Ag 0.453 0.898 0.287 1
Ag6 Ag 0.547 0.102 0.713 1
Ag7 Ag 0.694 0.694 0.714 1
Ag8 Ag 0.767 0.233 0.500 1
Ag9 Ag 0.898 0.453 0.287 1
Ge1 Ge 0.157 0.157 0.781 1
Ge2 Ge 0.843 0.843 0.219 1
I1 I 0.500 0.500 0.000 1
O1 O 0.088 0.664 0.398 1
O2 O 0.124 0.124 0.047 1
O3 O 0.261 0.261 0.878 1
O4 O 0.336 0.912 0.602 1
O5 O 0.664 0.088 0.398 1
O6 O 0.739 0.739 0.122 1
O7 O 0.876 0.876 0.953 1
O8 O 0.912 0.336 0.602 1
```

Largest 8 diffraction maxima, in order of falling intensity, 5° ≤ 2θ ≤ 70°:
| 2θ/deg | d/Å | Rel. int. |
| --- | --- | --- |
| 31.25 | 2.863 | 100 |
| 34.83 | 2.576 | 85 |
| 34.03 | 2.635 | 76 |
| 30.87 | 2.897 | 43 |
| 36.77 | 2.444 | 34 |
| 55.18 | 1.664 | 25 |
| 33.54 | 2.672 | 24 |
| 47.71 | 1.906 | 23 |

For AgGeIrS3, a structure optimized by DFT (GGA-PBE) gives the theoretical powder XRD pattern in this record (a wavelength of 1.5418 Å).

Structural model:
```
data_AgGeIrS3
_cell_length_a 7.714
_cell_length_b 7.714
_cell_length_c 8.930
_cell_angle_alpha 90.00
_cell_angle_beta 90.00
_cell_angle_gamma 153.02
_symmetry_space_group_name_H-M 'P 1'
_symmetry_Int_Tables_number 1
loop_
_symmetry_equiv_pos_as_xyz
'x,y,z'
loop_
_atom_site_label
_atom_site_type_symbol
_atom_site_fract_x
_atom_site_fract_y
_atom_site_fract_z
_atom_site_occupancy
Ag1 Ag 0.202 0.798 0.750 1
Ag2 Ag 0.798 0.202 0.250 1
Ge1 Ge 0.160 0.840 0.250 1
Ge2 Ge 0.840 0.160 0.750 1
Ir1 Ir 0.500 0.500 0.000 1
Ir2 Ir 0.500 0.500 0.500 1
S1 S 0.104 0.896 0.522 1
S2 S 0.104 0.896 0.978 1
S3 S 0.450 0.550 0.750 1
S4 S 0.550 0.450 0.250 1
S5 S 0.896 0.104 0.022 1
S6 S 0.896 0.104 0.478 1
```

Largest 8 diffraction maxima, in order of falling intensity, 5° ≤ 2θ ≤ 70°:
| 2θ/deg | d/Å | Rel. int. |
| --- | --- | --- |
| 23.18 | 3.837 | 100 |
| 30.61 | 2.921 | 86 |
| 44.23 | 2.048 | 59 |
| 51.52 | 1.774 | 38 |
| 40.41 | 2.232 | 34 |
| 11.80 | 7.501 | 31 |
| 32.51 | 2.754 | 30 |
| 56.48 | 1.629 | 18 |